This entry pairs a crystal structure of BaIrO3 with its computed powder diffraction line list. Radiation: Cu Kα (λ = 1.5418 Å). Structure: the GGA-PBE geometry in the Materials Project.
Neutral-atom scattering factors, no anomalous dispersion.

Crystal structure
```
BaIrO3
1.0
4.077 0.000 0.000
0.000 4.077 0.000
0.000 0.000 4.077
Ba Ir O
1 1 3
direct
0.000 0.000 0.000 Ba
0.500 0.500 0.500 Ir
0.000 0.500 0.500 O
0.500 0.000 0.500 O
0.500 0.500 0.000 O
```

Most intense lines, 2θ = 15–90°, sorted by position:
2theta	Rel. int.
21.80	7
31.02	100
44.44	27
55.18	40
64.66	17
73.44	18

=====

This entry pairs a crystal structure of Ba4IrO6 with its computed powder diffraction line list. Radiation: Cu Kα (λ = 1.5418 Å). Structure: the GGA-PBE geometry in the Materials Project.
Neutral-atom scattering factors, no anomalous dispersion.

Crystal structure
```
Ba4IrO6
1.0
5.193 2.998 4.264
-5.193 2.998 4.264
0.000 -5.997 4.264
Ba Ir O
8 2 12
direct
0.120 0.750 0.380 Ba
0.250 0.250 0.250 Ba
0.250 0.620 0.880 Ba
0.380 0.120 0.750 Ba
0.620 0.880 0.250 Ba
0.750 0.380 0.120 Ba
0.750 0.750 0.750 Ba
0.880 0.250 0.620 Ba
0.000 0.000 0.000 Ir
0.500 0.500 0.500 Ir
0.059 0.930 0.729 O
0.070 0.271 0.941 O
0.229 0.430 0.559 O
0.271 0.941 0.070 O
0.430 0.559 0.229 O
0.441 0.771 0.570 O
0.559 0.229 0.430 O
0.570 0.441 0.771 O
0.729 0.059 0.930 O
0.771 0.570 0.441 O
0.930 0.729 0.059 O
0.941 0.070 0.271 O
```

Most intense lines, 2θ = 15–90°, sorted by position:
2theta	Rel. int.
17.05	39
27.06	64
29.80	100
34.41	32
38.67	42
52.83	44

=====

This entry pairs a crystal structure of BaIrO3 with its computed powder diffraction line list. Radiation: Cu Kα (λ = 1.5418 Å). Structure: the GGA-PBE geometry in the Materials Project.
Neutral-atom scattering factors, no anomalous dispersion.

Crystal structure
```
BaIrO3
1.0
2.910 -5.011 0.000
2.910 5.011 0.000
-0.483 0.000 14.616
Ba Ir O
6 6 18
direct
0.004 0.996 0.750 Ba
0.323 0.657 0.404 Ba
0.343 0.677 0.096 Ba
0.657 0.323 0.904 Ba
0.677 0.343 0.596 Ba
0.996 0.004 0.250 Ba
0.000 0.000 0.000 Ir
0.000 0.000 0.500 Ir
0.324 0.654 0.847 Ir
0.346 0.676 0.653 Ir
0.654 0.324 0.347 Ir
0.676 0.346 0.153 Ir
0.044 0.513 0.742 O
0.100 0.798 0.908 O
0.110 0.290 0.907 O
0.187 0.379 0.553 O
0.202 0.900 0.592 O
0.290 0.110 0.407 O
0.379 0.187 0.053 O
0.485 0.515 0.750 O
0.487 0.956 0.758 O
0.513 0.044 0.242 O
0.515 0.485 0.250 O
0.621 0.813 0.947 O
0.710 0.890 0.593 O
0.798 0.100 0.408 O
0.813 0.621 0.447 O
0.890 0.710 0.093 O
0.900 0.202 0.092 O
0.956 0.487 0.258 O
```

Most intense lines, 2θ = 15–90°, sorted by position:
2theta	Rel. int.
18.77	21
29.81	38
30.27	37
30.71	82
30.87	100
54.76	27

=====

This entry pairs a crystal structure of Ba2Ir3O9 with its computed powder diffraction line list. Radiation: Cu Kα (λ = 1.5418 Å). Structure: the GGA-PBE geometry in the Materials Project.
Neutral-atom scattering factors, no anomalous dispersion.

Crystal structure
```
Ba2Ir3O9
1.0
-4.784 4.784 4.784
4.784 -4.784 4.784
4.784 4.784 -4.784
Ba Ir O
4 6 18
direct
0.000 0.000 0.380 Ba
0.000 0.380 0.000 Ba
0.380 0.000 0.000 Ba
0.620 0.620 0.620 Ba
0.156 0.656 0.500 Ir
0.344 0.500 0.844 Ir
0.500 0.156 0.656 Ir
0.500 0.844 0.344 Ir
0.656 0.500 0.156 Ir
0.844 0.344 0.500 Ir
0.000 0.359 0.359 O
0.000 0.641 0.641 O
0.050 0.328 0.690 O
0.278 0.950 0.641 O
0.310 0.638 0.359 O
0.328 0.690 0.050 O
0.359 0.000 0.359 O
0.359 0.310 0.638 O
0.359 0.359 0.000 O
0.362 0.672 0.722 O
0.638 0.359 0.310 O
0.641 0.000 0.641 O
0.641 0.278 0.950 O
0.641 0.641 0.000 O
0.672 0.722 0.362 O
0.690 0.050 0.328 O
0.722 0.362 0.672 O
0.950 0.641 0.278 O
```

Most intense lines, 2θ = 15–90°, sorted by position:
2theta	Rel. int.
22.77	33
29.52	100
35.10	78
48.52	43
56.05	26
57.82	34

=====

This entry pairs a crystal structure of Ba4Ir3O10 with its computed powder diffraction line list. Radiation: Cu Kα (λ = 1.5418 Å). Structure: the GGA-PBE geometry in the Materials Project.
Neutral-atom scattering factors, no anomalous dispersion.

Crystal structure
```
Ba4Ir3O10
1.0
7.363 0.000 0.000
0.000 13.366 0.000
-2.222 0.000 5.388
Ba Ir O
8 6 20
direct
0.015 0.113 0.261 Ba
0.015 0.387 0.761 Ba
0.414 0.137 0.963 Ba
0.414 0.363 0.463 Ba
0.586 0.637 0.537 Ba
0.586 0.863 0.037 Ba
0.985 0.613 0.239 Ba
0.985 0.887 0.739 Ba
0.260 0.651 0.869 Ir
0.260 0.849 0.369 Ir
0.500 0.000 0.500 Ir
0.500 0.500 0.000 Ir
0.740 0.151 0.631 Ir
0.740 0.349 0.131 Ir
0.030 0.154 0.770 O
0.030 0.346 0.270 O
0.271 0.725 0.568 O
0.271 0.775 0.068 O
0.274 0.525 0.664 O
0.274 0.975 0.164 O
0.290 0.542 0.135 O
0.290 0.958 0.635 O
0.425 0.150 0.474 O
0.425 0.350 0.974 O
0.575 0.650 0.026 O
0.575 0.850 0.526 O
0.710 0.042 0.365 O
0.710 0.458 0.865 O
0.726 0.025 0.836 O
0.726 0.475 0.336 O
0.729 0.225 0.932 O
0.729 0.275 0.432 O
0.970 0.654 0.730 O
0.970 0.846 0.230 O
```

Most intense lines, 2θ = 15–90°, sorted by position:
2theta	Rel. int.
26.68	43
28.11	88
28.45	100
30.69	97
31.92	53
41.10	44

=====

This entry pairs a crystal structure of Ba3PrIr2O9 with its computed powder diffraction line list. Radiation: Cu Kα (λ = 1.5418 Å). Structure: the GGA-PBE geometry in the Materials Project.
Neutral-atom scattering factors, no anomalous dispersion.

Crystal structure
```
Ba3PrIr2O9
1.0
6.028 0.000 0.000
-3.014 5.220 0.000
0.000 0.000 15.033
Ba Pr Ir O
6 2 4 18
direct
0.000 0.000 0.250 Ba
0.000 0.000 0.750 Ba
0.333 0.667 0.098 Ba
0.333 0.667 0.402 Ba
0.667 0.333 0.598 Ba
0.667 0.333 0.902 Ba
0.000 0.000 0.000 Pr
0.000 0.000 0.500 Pr
0.333 0.667 0.666 Ir
0.333 0.667 0.834 Ir
0.667 0.333 0.166 Ir
0.667 0.333 0.334 Ir
0.018 0.509 0.750 O
0.179 0.359 0.591 O
0.179 0.359 0.909 O
0.179 0.821 0.591 O
0.179 0.821 0.909 O
0.359 0.179 0.091 O
0.359 0.179 0.409 O
0.491 0.509 0.750 O
0.491 0.982 0.750 O
0.509 0.018 0.250 O
0.509 0.491 0.250 O
0.641 0.821 0.591 O
0.641 0.821 0.909 O
0.821 0.179 0.091 O
0.821 0.179 0.409 O
0.821 0.641 0.091 O
0.821 0.641 0.409 O
0.982 0.491 0.250 O
```

Most intense lines, 2θ = 15–90°, sorted by position:
2theta	Rel. int.
17.99	27
29.28	56
29.64	100
42.15	31
52.37	21
52.60	20